Computed X-ray powder pattern
Compound: Na5B6C4
Radiation: Cu Kα
Structure: the PBE geometry in Alexandria

Cell and atoms:
```
Na5B6C4
1.0
1.4168 -12.4965 0.0000
1.4168 12.4965 0.0000
0.0000 0.0000 8.4761
Na B C
10 12 8
Direct
0.0000 0.0000 0.0000
0.0000 0.0000 0.5000
0.2005 0.7995 0.9999
0.2005 0.7995 0.5001
0.3993 0.6007 0.5008
0.3993 0.6007 0.9992
0.6007 0.3993 0.0008
0.6007 0.3993 0.4992
0.7995 0.2005 0.0001
0.7995 0.2005 0.4999
0.0726 0.9274 0.2500
0.1365 0.8635 0.7500
0.2665 0.7335 0.2500
0.3306 0.6694 0.7500
0.4605 0.5395 0.2500
0.4676 0.5324 0.7500
0.5324 0.4676 0.2500
0.5395 0.4605 0.7500
0.6694 0.3306 0.2500
0.7335 0.2665 0.7500
0.8635 0.1365 0.2500
0.9274 0.0726 0.7500
0.0709 0.9291 0.7500
0.1371 0.8629 0.2500
0.2655 0.7345 0.7500
0.3318 0.6682 0.2500
0.6682 0.3318 0.7500
0.7345 0.2655 0.2500
0.8629 0.1371 0.7500
0.9291 0.0709 0.2500
```

The 6 most intense peaks (2θ from 10° to 90°), most intense first:
42.4 deg, I 1000
42.0 deg, I 508
42.7 deg, I 386
36.4 deg, I 176
64.9 deg, I 171
80.8 deg, I 167